Entry 1:
CaTm2S4: theoretical XRD peak list (a wavelength of 1.5418 Å), based on a PBE-relaxed structure.

Main lines, by angle (2θ = 15–90°):
2theta  d (Å)  I (rel.)  (hkl)
24.07  3.697  37.6  1 1 0
24.60  3.619  100.0  0 2 3
31.28  2.859  40.6  1 3 0
32.03  2.794  32.4  1 3 1
34.18  2.623  49.9  1 3 2
47.47  1.915  61.1  0 6 3

Atomic structure:
```
data_CaTm2S4
_cell_length_a 3.8625
_cell_length_b 12.7590
_cell_length_c 13.1812
_cell_angle_alpha 90.00
_cell_angle_beta 90.00
_cell_angle_gamma 90.00
_space_group_name_H-M_alt 'C m c 21'
_space_group_IT_number 36
loop_
_space_group_symop_operation_xyz
'x,y,z'
'-x,-y,z+1/2'
'-x,y,z'
'x,-y,z+1/2'
'x+1/2,y+1/2,z'
'-x+1/2,-y+1/2,z+1/2'
'-x+1/2,y+1/2,z'
'x+1/2,-y+1/2,z+1/2'
loop_
_atom_site_label
_atom_site_type_symbol
_atom_site_fract_x
_atom_site_fract_y
_atom_site_fract_z
Ca1 Ca 0.0000 0.1127 0.0000
Tm1 Tm 0.0000 0.3611 0.1872
Tm2 Tm 0.0000 0.3708 0.8290
S1 S 0.0000 0.0077 0.7649
S2 S 0.0000 0.2671 0.3742
S3 S 0.0000 0.2766 0.6409
S4 S 0.0000 0.4575 0.0104
```


Entry 2:
Pr2Al5Ag5: theoretical XRD peak list (a wavelength of 1.5418 Å), based on a PBE-relaxed structure.

Main lines, by angle (2θ = 15–90°):
2theta  d (Å)  I (rel.)  (hkl)
19.89  4.464  40.0  1 0 0
31.96  2.800  36.7  0 1 3
32.39  2.764  30.1  0 2 0
37.93  2.372  100.0  1 1 3
38.30  2.350  32.0  1 2 0
40.41  2.232  28.1  2 0 0

Atomic structure:
```
data_Pr2Al5Ag5
_cell_length_a 4.4644
_cell_length_b 5.5276
_cell_length_c 9.7429
_cell_angle_alpha 90.00
_cell_angle_beta 90.00
_cell_angle_gamma 90.00
_space_group_name_H-M_alt 'P m m m'
_space_group_IT_number 47
loop_
_space_group_symop_operation_xyz
'x,y,z'
'-x,-y,-z'
'-x,-y,z'
'x,y,-z'
'x,-y,-z'
'-x,y,z'
'-x,y,-z'
'x,-y,z'
loop_
_atom_site_label
_atom_site_type_symbol
_atom_site_fract_x
_atom_site_fract_y
_atom_site_fract_z
Pr1 Pr 0.0000 0.0000 0.0000
Pr2 Pr 0.0000 0.5000 0.5000
Al1 Al 0.5000 0.0000 0.5000
Al2 Al 0.5000 0.2483 0.2447
Ag1 Ag 0.0000 0.0000 0.3341
Ag2 Ag 0.0000 0.5000 0.1801
Ag3 Ag 0.5000 0.5000 0.0000
```


Entry 3:
NpB3Ir5: theoretical XRD peak list (a wavelength of 1.5418 Å), based on a PBE-relaxed structure.

Main lines, by angle (2θ = 15–90°):
2theta  d (Å)  I (rel.)  (hkl)
23.91  3.721  42.5  0 2 3
30.19  2.960  38.6  0 4 0
37.71  2.386  80.6  1 1 3
40.68  2.218  100.0  0 2 6
41.22  2.190  36.0  1 3 2
41.34  2.184  51.2  1 1 4

Atomic structure:
```
data_NpB3Ir5
_cell_length_a 2.8298
_cell_length_b 11.8408
_cell_length_c 14.3532
_cell_angle_alpha 90.00
_cell_angle_beta 90.00
_cell_angle_gamma 90.00
_space_group_name_H-M_alt 'C m c m'
_space_group_IT_number 63
_space_group_name_Hall '-C 2c 2'
loop_
_atom_site_label
_atom_site_type_symbol
_atom_site_fract_x
_atom_site_fract_y
_atom_site_fract_z
Np1 Np 0.0000 0.1769 0.2500
B1 B 0.0000 0.1273 0.7500
B2 B 0.0000 0.3879 0.5797
Ir1 Ir 0.0000 0.0000 0.0000
Ir2 Ir 0.0000 0.2185 0.5796
Ir3 Ir 0.0000 0.4619 0.1587
```